No. 1
Starting from a DFT-relaxed cell (PBE, Alexandria), the X-ray diffraction stick pattern of CsRb4H4 was computed for Cu Kα.
Kinematic intensities with the Lorentz-polarization factor, no thermal factor.

Most intense lines, 2θ = 15–90°, by angle:
- hkl 2 1 1, 3.579 Å, I = 100.0
- hkl 1 3 0, 3.122 Å, I = 38.5
- hkl 0 0 2, 3.056 Å, I = 18.1
- hkl 4 2 0, 2.208 Å, I = 12.5
- hkl 1 3 2, 2.184 Å, I = 27.5
- hkl 3 4 1, 1.879 Å, I = 29.1
- hkl 2 1 3, 1.850 Å, I = 15.4
- hkl 4 2 2, 1.790 Å, I = 12.9

Cell and atoms:
Cell: 9.8730 9.8730 6.1125 Å, 90.00 90.00 90.00°
Space group I4/m (No. 87)
One atom of each set of equivalent atoms:
Cs  0.0000  0.0000  0.0000
Rb  0.1120  0.3173  0.5000
H  0.1066  0.3116  0.0000

***

No. 2
Starting from a DFT-relaxed cell (PBE, Alexandria), the X-ray diffraction stick pattern of Ca3HgAs3 was computed for Cu Kα.
Kinematic intensities with the Lorentz-polarization factor, no thermal factor.

Most intense lines, 2θ = 15–90°, by angle:
- hkl 1 1 1, 5.774 Å, I = 100.0
- hkl 3 1 2, 3.639 Å, I = 25.1
- hkl 1 1 3, 3.413 Å, I = 58.8
- hkl 5 1 1, 3.106 Å, I = 60.4
- hkl 6 2 0, 2.294 Å, I = 88.4
- hkl 0 2 4, 2.285 Å, I = 65.9
- hkl 6 0 4, 2.121 Å, I = 60.9
- hkl 0 4 0, 1.770 Å, I = 26.4

Cell and atoms:
Cell: 18.0483 7.0812 11.9663 Å, 90.00 90.00 90.00°
Space group Cmce (No. 64)
One atom of each set of equivalent atoms:
Ca  0.0000  0.1741  0.1369
Ca  0.1732  0.1756  0.8721
Hg  0.0926  0.0000  0.5000
As  0.0000  0.2478  0.3812
As  0.1647  0.2484  0.1271

***

No. 3
Starting from a DFT-relaxed cell (PBE, Alexandria), the X-ray diffraction stick pattern of Rb2FeSiSe4 was computed for Cu Kα.
Kinematic intensities with the Lorentz-polarization factor, no thermal factor.

Most intense lines, 2θ = 15–90°, by angle:
- hkl 1 3 1, 3.647 Å, I = 32.1
- hkl 0 2 6, 3.547 Å, I = 27.5
- hkl 1 3 3, 3.368 Å, I = 91.4
- hkl 0 0 8, 3.103 Å, I = 28.0
- hkl 2 0 2, 3.002 Å, I = 46.7
- hkl 1 3 5, 2.960 Å, I = 100.0
- hkl 2 0 6, 2.478 Å, I = 34.2
- hkl 2 6 0, 1.843 Å, I = 31.7

Cell and atoms:
Cell: 6.1869 13.7732 24.8250 Å, 90.00 90.00 90.00°
Space group Fddd (No. 70, origin choice 2)
One atom of each set of equivalent atoms:
Rb  0.1250  0.1250  0.3052
Fe  0.1250  0.1250  0.1250
Si  0.1250  0.1250  0.6250
Se  0.1074  0.2815  0.8242

***

No. 4
Starting from a DFT-relaxed cell (PBE, Alexandria), the X-ray diffraction stick pattern of Li7BiB2O8 was computed for Cu Kα.
Kinematic intensities with the Lorentz-polarization factor, no thermal factor.

Most intense lines, 2θ = 15–90°, by angle:
- hkl 2 0 -1, 5.372 Å, I = 66.4
- hkl 2 0 1, 5.203 Å, I = 100.0
- hkl 1 1 -1, 4.663 Å, I = 98.7
- hkl 0 2 0, 3.195 Å, I = 97.1
- hkl 3 1 -2, 2.748 Å, I = 93.8
- hkl 2 2 1, 2.722 Å, I = 55.9
- hkl 2 2 2, 2.304 Å, I = 56.5
- hkl 4 2 1, 2.288 Å, I = 57.6

Cell and atoms:
Cell: 14.7886 6.3886 7.5664 Å, 90.00 91.84 90.00°
Space group C2/m (No. 12)
One atom of each set of equivalent atoms:
Li  0.0000  0.0000  0.0000
Li  0.0000  0.5000  0.0000
Li  0.0690  0.2447  0.3719
Li  0.0740  0.5000  0.7242
Li  0.1439  0.0000  0.1520
Li  0.1810  0.2510  0.8763
Bi  0.2310  0.0000  0.5669
B  0.0707  0.0000  0.7356
B  0.1387  0.5000  0.1558
O  0.0252  0.0000  0.2592
O  0.0524  0.5000  0.2442
O  0.1103  0.1955  0.6295
O  0.1174  0.0000  0.9086
O  0.1320  0.5000  0.9657
O  0.1965  0.3048  0.2273